This entry pairs a crystal structure of MgAg20Bi4O16 with its theoretical X-ray diffraction stick pattern. Radiation: a wavelength of 1.5418 Å. Structure: a GGA-PBE-relaxed structure.
Intensities are scaled so that the largest is 100.

Cell: 6.0015 9.1366 13.5409 Å, 84.65 84.74 85.85°
Sites, in units of the cell vectors:
1 Mg 0.0000 0.0000 0.0000
2 Ag 0.0892 0.3629 0.8247
3 Ag 0.0952 0.7400 0.6815
4 Ag 0.1282 0.1163 0.5382
5 Ag 0.1671 0.7644 0.4458
6 Ag 0.1812 0.8015 0.1999
7 Ag 0.2954 0.5611 0.0582
8 Ag 0.3290 0.9965 0.8028
9 Ag 0.3466 0.4847 0.5635
10 Ag 0.4096 0.0101 0.3279
11 Ag 0.5886 0.8862 0.9949
12 Ag 0.6006 0.2565 0.4396
13 Ag 0.6030 0.2381 0.6890
14 Ag 0.6186 0.6352 0.3488
15 Ag 0.6747 0.2730 0.2064
16 Ag 0.6844 0.2641 0.9473
17 Ag 0.8068 0.5233 0.0624
18 Ag 0.8269 0.9972 0.8055
19 Ag 0.8482 0.4790 0.5621
20 Ag 0.9015 0.0101 0.3269
21 Ag 0.9900 0.7391 0.9163
22 Bi 0.1243 0.4178 0.3273
23 Bi 0.2256 0.2062 0.1076
24 Bi 0.5635 0.6022 0.7981
25 Bi 0.6334 0.8706 0.5688
26 O 0.0679 0.4348 0.1543
27 O 0.0741 0.6553 0.3233
28 O 0.0757 0.1271 0.8750
29 O 0.1250 0.3565 0.4968
30 O 0.1585 0.1579 0.2669
31 O 0.2626 0.9627 0.0815
32 O 0.2656 0.8866 0.5657
33 O 0.4939 0.4160 0.3166
34 O 0.5230 0.3616 0.8154
35 O 0.5696 0.6280 0.9662
36 O 0.5778 0.6110 0.6220
37 O 0.5947 0.8690 0.7346
38 O 0.6532 0.8623 0.3906
39 O 0.6926 0.1119 0.5637
40 O 0.8792 0.1708 0.0823
41 O 0.9291 0.5845 0.7890

Largest 10 diffraction maxima, sorted by position, 2θ from 10° to 90°:
- hkl 2 0 0, 29.95 deg, rel. 79
- hkl 0 2 4, 31.74 deg, rel. 92
- hkl 1 3 0, 32.33 deg, rel. 100
- hkl -1 1 4, 32.80 deg, rel. 64
- hkl 0 3 -2, 33.52 deg, rel. 73
- hkl 1 1 -4, 33.63 deg, rel. 63
- hkl 1 -3 0, 34.08 deg, rel. 63
- hkl 0 2 -4, 34.57 deg, rel. 85
- hkl 2 1 -2, 35.12 deg, rel. 69
- hkl -2 1 2, 35.60 deg, rel. 62